Theoretical powder X-ray diffraction pattern
Compound: Cu2Pd7Au2
Radiation: copper Kα
Structure: a crystal structure in Alexandria, relaxed with PBE
No peak broadening, texture or thermal motion is included.

Structure:
```
Cu2Pd7Au2
1.0
-2.2382 5.5386 3.5203
2.2382 -5.5386 3.5203
2.2382 5.5386 -3.5203
Cu Pd Au
2 7 2
Cartesian
0.0000 0.0000 0.0000
0.0000 5.5386 1.2511
2.2382 1.4680 -0.1371
2.2382 -1.5038 2.6679
0.0000 0.0000 2.7091
2.2382 1.5038 2.6679
2.2382 4.0243 1.4136
0.0000 1.5142 4.9338
0.0000 4.0706 3.3832
0.0000 2.3386 1.2454
0.0000 8.7385 1.2454
```

The 8 most intense peaks (10 to 80 degrees two-theta), sorted by position:
- 30.1 deg, intensity 20.3
- 39.2 deg, intensity 15.0
- 40.3 deg, intensity 100.0
- 40.7 deg, intensity 94.1
- 45.7 deg, intensity 14.2
- 46.7 deg, intensity 14.5
- 73.6 deg, intensity 17.2
- 79.3 deg, intensity 16.5